(1)
For Lu4B6O15, a PBE-relaxed structure gives the theoretical XRD peak list in this record (Cu Kα (λ = 1.5418 Å)).
Intensities are scaled so that the largest is 100.

Principal peaks in the range 10° ≤ 2θ ≤ 80°, most intense first:
two_theta, d [Å], I (rel.)
13.45, 6.585, 100.0
15.02, 5.897, 70.2
31.11, 2.875, 41.4
24.36, 3.654, 41.3
33.29, 2.691, 34.4
36.09, 2.489, 27.2
41.10, 2.196, 26.2
54.37, 1.688, 23.8
41.68, 2.167, 22.1
20.21, 4.393, 21.4

Structural model:
Lattice parameters (Å, degrees): 7.9429 7.9429 7.9429 112.00 112.00 112.00
Fractional positions:
Lu: 0.0000 0.0000 0.0000
Lu: 0.1016 0.8083 0.2857
Lu: 0.2857 0.1016 0.8083
Lu: 0.8083 0.2857 0.1016
B: 0.1940 0.2784 0.5074
B: 0.2784 0.5074 0.1940
B: 0.5074 0.1940 0.2784
B: 0.5190 0.8569 0.6002
B: 0.6002 0.5190 0.8569
B: 0.8569 0.6002 0.5190
O: 0.0551 0.2545 0.3149
O: 0.0945 0.5155 0.1223
O: 0.1223 0.0945 0.5155
O: 0.2545 0.3149 0.0551
O: 0.3149 0.0551 0.2545
O: 0.3607 0.8928 0.5954
O: 0.4096 0.4820 0.6919
O: 0.4820 0.6919 0.4096
O: 0.5155 0.1223 0.0945
O: 0.5954 0.3607 0.8928
O: 0.6919 0.4096 0.4820
O: 0.7306 0.9991 0.8066
O: 0.8066 0.7306 0.9991
O: 0.8928 0.5954 0.3607
O: 0.9991 0.8066 0.7306

***

(2)
For LuScB2O6, a PBE-relaxed structure gives the theoretical XRD peak list in this record (Cu Kα (λ = 1.5418 Å)).
Intensities are scaled so that the largest is 100.

Principal peaks in the range 10° ≤ 2θ ≤ 80°, most intense first:
two_theta, d [Å], I (rel.)
31.04, 2.881, 100.0
23.96, 3.713, 95.8
21.87, 4.065, 56.2
51.14, 1.786, 44.5
37.02, 2.428, 34.5
40.92, 2.206, 32.9
16.81, 5.274, 32.2
44.59, 2.032, 29.4
51.03, 1.790, 23.2
59.30, 1.558, 22.8

Structural model:
Lattice parameters (Å, degrees): 5.9728 5.9728 5.9728 47.97 47.97 47.97
Fractional positions:
Lu: 0.0000 0.0000 0.0000
Sc: 0.5000 0.5000 0.5000
B: 0.2467 0.2467 0.2467
B: 0.7533 0.7533 0.7533
O: 0.0432 0.7405 0.4722
O: 0.2595 0.5278 0.9568
O: 0.4722 0.0432 0.7405
O: 0.5278 0.9568 0.2595
O: 0.7405 0.4722 0.0432
O: 0.9568 0.2595 0.5278

***

(3)
For LuBPd3, a PBE-relaxed structure gives the theoretical XRD peak list in this record (Cu Kα (λ = 1.5418 Å)).
Intensities are scaled so that the largest is 100.

Principal peaks in the range 10° ≤ 2θ ≤ 80°, most intense first:
two_theta, d [Å], I (rel.)
36.30, 2.475, 100.0
42.17, 2.143, 52.4
73.25, 1.292, 38.0
61.16, 1.515, 34.4
77.08, 1.237, 11.6
29.47, 3.031, 5.7
20.72, 4.286, 3.5
52.28, 1.750, 2.4
47.43, 1.917, 2.1
65.31, 1.429, 1.1

Structural model:
Lattice parameters (Å, degrees): 4.2861 4.2861 4.2861 90.00 90.00 90.00
Fractional positions:
Lu: 0.0000 0.0000 0.0000
B: 0.5000 0.5000 0.5000
Pd: 0.0000 0.5000 0.5000
Pd: 0.5000 0.0000 0.5000
Pd: 0.5000 0.5000 0.0000

***

(4)
For LuBPt2, a PBE-relaxed structure gives the theoretical XRD peak list in this record (Cu Kα (λ = 1.5418 Å)).
Intensities are scaled so that the largest is 100.

Principal peaks in the range 10° ≤ 2θ ≤ 80°, most intense first:
two_theta, d [Å], I (rel.)
35.77, 2.510, 100.0
41.00, 2.201, 74.7
33.90, 2.644, 58.5
58.13, 1.587, 27.9
71.29, 1.323, 24.0
61.84, 1.500, 19.3
65.47, 1.426, 16.6
69.03, 1.361, 15.1
79.13, 1.210, 11.3
48.68, 1.870, 9.7

Structural model:
Lattice parameters (Å, degrees): 5.2926 5.2926 7.9314 90.00 90.00 120.00
Fractional positions:
Lu: 0.0000 0.5000 0.1667
Lu: 0.5000 0.0000 0.5000
Lu: 0.5000 0.5000 0.8333
B: 0.0000 0.5000 0.6667
B: 0.5000 0.0000 0.0000
B: 0.5000 0.5000 0.3333
Pt: 0.1517 0.3034 0.5000
Pt: 0.1517 0.8483 0.8333
Pt: 0.3034 0.1517 0.1667
Pt: 0.6966 0.8483 0.1667
Pt: 0.8483 0.1517 0.8333
Pt: 0.8483 0.6966 0.5000

***

(5)
For LuB2Rh3, a PBE-relaxed structure gives the theoretical XRD peak list in this record (Cu Kα (λ = 1.5418 Å)).
Intensities are scaled so that the largest is 100.

Principal peaks in the range 10° ≤ 2θ ≤ 80°, most intense first:
two_theta, d [Å], I (rel.)
38.47, 2.340, 100.0
34.56, 2.595, 84.5
44.36, 2.042, 49.5
60.14, 1.539, 34.5
72.90, 1.298, 30.7
69.59, 1.351, 19.7
67.09, 1.395, 14.2
59.25, 1.559, 11.0
48.65, 1.872, 9.6
18.96, 4.680, 7.6

Structural model:
Lattice parameters (Å, degrees): 5.4038 5.4038 3.1188 90.00 90.00 120.00
Fractional positions:
Lu: 0.0000 0.0000 0.0000
B: 0.3333 0.6667 0.0000
B: 0.6667 0.3333 0.0000
Rh: 0.0000 0.5000 0.5000
Rh: 0.5000 0.0000 0.5000
Rh: 0.5000 0.5000 0.5000

***

(6)
For LuBRh3, a PBE-relaxed structure gives the theoretical XRD peak list in this record (Cu Kα (λ = 1.5418 Å)).
Intensities are scaled so that the largest is 100.

Principal peaks in the range 10° ≤ 2θ ≤ 80°, most intense first:
two_theta, d [Å], I (rel.)
37.29, 2.411, 100.0
43.33, 2.088, 52.2
75.50, 1.259, 37.6
62.95, 1.477, 33.9
79.50, 1.206, 11.5
30.27, 2.953, 6.4
21.28, 4.176, 4.1
53.77, 1.705, 2.6
48.76, 1.868, 2.3
67.26, 1.392, 1.2

Structural model:
Lattice parameters (Å, degrees): 4.1762 4.1762 4.1762 90.00 90.00 90.00
Fractional positions:
Lu: 0.0000 0.0000 0.0000
B: 0.5000 0.5000 0.5000
Rh: 0.0000 0.5000 0.5000
Rh: 0.5000 0.0000 0.5000
Rh: 0.5000 0.5000 0.0000

***

Copy entry 1 word for word.
For Lu4B6O15, a PBE-relaxed structure gives the theoretical XRD peak list in this record (Cu Kα (λ = 1.5418 Å)).
Intensities are scaled so that the largest is 100.

Principal peaks in the range 10° ≤ 2θ ≤ 80°, most intense first:
two_theta, d [Å], I (rel.)
13.45, 6.585, 100.0
15.02, 5.897, 70.2
31.11, 2.875, 41.4
24.36, 3.654, 41.3
33.29, 2.691, 34.4
36.09, 2.489, 27.2
41.10, 2.196, 26.2
54.37, 1.688, 23.8
41.68, 2.167, 22.1
20.21, 4.393, 21.4

Structural model:
Lattice parameters (Å, degrees): 7.9429 7.9429 7.9429 112.00 112.00 112.00
Fractional positions:
Lu: 0.0000 0.0000 0.0000
Lu: 0.1016 0.8083 0.2857
Lu: 0.2857 0.1016 0.8083
Lu: 0.8083 0.2857 0.1016
B: 0.1940 0.2784 0.5074
B: 0.2784 0.5074 0.1940
B: 0.5074 0.1940 0.2784
B: 0.5190 0.8569 0.6002
B: 0.6002 0.5190 0.8569
B: 0.8569 0.6002 0.5190
O: 0.0551 0.2545 0.3149
O: 0.0945 0.5155 0.1223
O: 0.1223 0.0945 0.5155
O: 0.2545 0.3149 0.0551
O: 0.3149 0.0551 0.2545
O: 0.3607 0.8928 0.5954
O: 0.4096 0.4820 0.6919
O: 0.4820 0.6919 0.4096
O: 0.5155 0.1223 0.0945
O: 0.5954 0.3607 0.8928
O: 0.6919 0.4096 0.4820
O: 0.7306 0.9991 0.8066
O: 0.8066 0.7306 0.9991
O: 0.8928 0.5954 0.3607
O: 0.9991 0.8066 0.7306